Structure and theoretical powder diffraction line list of K6YO4 (a crystal structure in the Materials Project, relaxed with PBE; copper Kα).

Peak list (10 most intense, 2θ from 10° to 90°, low angle first)
2theta	intensity
10.87	37
17.12	25
25.60	21
28.77	37
29.04	20
32.01	100
34.64	24
35.70	28
38.32	29
56.40	20

Cell and atoms:
a = 9.3953 Å, b = 9.3953 Å, c = 6.7147 Å
α = 90.00°, β = 90.00°, γ = 120.00°
Atoms (fractional coordinates):
K 0.0838 0.5419 0.0000
K 0.1322 0.2644 0.6814
K 0.1322 0.8678 0.6814
K 0.2644 0.1322 0.1814
K 0.4581 0.5419 0.0000
K 0.4581 0.9162 0.0000
K 0.5419 0.0838 0.5000
K 0.5419 0.4581 0.5000
K 0.7356 0.8678 0.6814
K 0.8678 0.1322 0.1814
K 0.8678 0.7356 0.1814
K 0.9162 0.4581 0.5000
Y 0.3333 0.6667 0.4171
Y 0.6667 0.3333 0.9171
O 0.2094 0.4189 0.2980
O 0.2094 0.7906 0.2980
O 0.3333 0.6667 0.7399
O 0.4189 0.2094 0.7980
O 0.5811 0.7906 0.2980
O 0.6667 0.3333 0.2399
O 0.7906 0.2094 0.7980
O 0.7906 0.5811 0.7980